For K2OsO5, a cell relaxed with GGA-PBE gives the theoretical powder diffraction line list in this record (Cu Kα (λ = 1.5418 Å)).
No peak broadening, texture or thermal motion is included.

Cell and atoms:
Cell lengths 10.9799, 10.9799, 8.3678 Å; angles 90.00, 90.00, 120.00 degrees
Space group P6_3/m (No. 176)
Asymmetric unit:
1 K 0.0000 0.0000 0.0000 x2
2 K 0.0437 0.3476 0.2500 x6
3 K 0.3333 0.6667 0.5173 x4
4 Os 0.0433 0.3596 0.7500 x6
5 O 0.0281 0.8311 0.2500 x6
6 O 0.1264 0.5519 0.7500 x6
7 O 0.1284 0.6589 0.2500 x6
8 O 0.1302 0.3703 0.5650 x12

Largest 12 diffraction maxima, by angle, 2θ from 10° to 90°:
2θ = 16.14°, d 5.490, rel. 23, (1 1 0)
2θ = 19.34°, d 4.590, rel. 100, (1 1 1)
2θ = 21.24°, d 4.184, rel. 33, (0 0 2)
2θ = 24.77°, d 3.594, rel. 20, (1 2 0)
2θ = 26.79°, d 3.328, rel. 46, (1 1 2)
2θ = 28.15°, d 3.170, rel. 47, (3 0 0)
2θ = 35.53°, d 2.526, rel. 21, (3 0 2)
2θ = 36.12°, d 2.487, rel. 16, (1 1 3)
2θ = 39.25°, d 2.295, rel. 21, (2 2 2)
2θ = 43.25°, d 2.092, rel. 10, (0 0 4)
2θ = 52.41°, d 1.746, rel. 16, (3 0 4)
2θ = 55.67°, d 1.651, rel. 11, (4 2 2)



For K2OsPb2O6, a cell relaxed with GGA-PBE gives the theoretical powder diffraction line list in this record (Cu Kα (λ = 1.5418 Å)).
No peak broadening, texture or thermal motion is included.

Cell and atoms:
Cell lengths 6.703, 10.896, 5.874 Å; angles 90.00, 103.87, 90.00 degrees
Space group C2/m (No. 12)
Asymmetric unit:
1 K 0.000 0.152 0.000 x4
2 Os 0.000 0.500 0.000 x2
3 Pb 0.000 0.342 0.500 x4
4 O 0.164 0.500 0.743 x4
5 O 0.168 0.375 0.181 x8

Largest 12 diffraction maxima, by angle, 2θ from 10° to 90°:
2θ = 15.86°, d 5.587, rel. 100, (1 1 0)
2θ = 22.57°, d 3.939, rel. 28, (0 2 1)
2θ = 27.41°, d 3.254, rel. 33, (2 0 0)
2θ = 30.61°, d 2.920, rel. 45, (1 3 -1)
2θ = 31.37°, d 2.851, rel. 22, (0 0 2)
2θ = 32.17°, d 2.782, rel. 15, (1 1 -2)
2θ = 33.91°, d 2.644, rel. 52, (1 3 1)
2θ = 36.58°, d 2.457, rel. 34, (2 0 -2)
2θ = 48.18°, d 1.889, rel. 17, (3 3 -1)
2θ = 53.20°, d 1.722, rel. 14, (1 3 -3)
2θ = 54.92°, d 1.672, rel. 12, (3 3 1)
2θ = 58.17°, d 1.586, rel. 13, (4 0 -2)



For KOsPb2O8, a cell relaxed with GGA-PBE gives the theoretical powder diffraction line list in this record (Cu Kα (λ = 1.5418 Å)).
No peak broadening, texture or thermal motion is included.

Cell and atoms:
Cell lengths 4.820, 5.244, 7.904 Å; angles 88.91, 86.04, 85.46 degrees
Space group P-1 (No. 2)
Asymmetric unit:
1 K 0.000 0.000 0.000 x1
2 Os 0.000 0.000 0.500 x1
3 Pb 0.478 0.511 0.280 x2
4 O 0.142 0.498 0.999 x2
5 O 0.184 0.157 0.660 x2
6 O 0.235 0.118 0.324 x2
7 O 0.251 0.690 0.519 x2

Largest 12 diffraction maxima, by angle, 2θ from 10° to 90°:
2θ = 11.22°, d 7.884, rel. 97, (0 0 1)
2θ = 24.19°, d 3.679, rel. 97, (1 1 0)
2θ = 26.17°, d 3.405, rel. 100, (1 -1 0)
2θ = 28.17°, d 3.168, rel. 56, (0 1 2)
2θ = 28.32°, d 3.151, rel. 72, (1 0 2)
2θ = 28.55°, d 3.127, rel. 53, (0 1 -2)
2θ = 30.31°, d 2.948, rel. 56, (1 0 -2)
2θ = 34.31°, d 2.613, rel. 45, (0 2 0)
2θ = 37.52°, d 2.397, rel. 24, (2 0 0)
2θ = 43.59°, d 2.076, rel. 24, (1 2 2)
2θ = 45.04°, d 2.013, rel. 23, (2 1 2)
2θ = 46.50°, d 1.953, rel. 21, (1 -2 2)



For KOs2PdO8, a cell relaxed with GGA-PBE gives the theoretical powder diffraction line list in this record (Cu Kα (λ = 1.5418 Å)).
No peak broadening, texture or thermal motion is included.

Cell and atoms:
Cell lengths 8.231, 6.607, 7.267 Å; angles 90.00, 109.32, 90.00 degrees
Space group C2/m (No. 12)
Asymmetric unit:
1 K 0.000 0.000 0.000 x2
2 Os 0.052 0.500 0.240 x4
3 Pd 0.000 0.000 0.500 x2
4 O 0.044 0.267 0.728 x8
5 O 0.157 0.500 0.056 x4
6 O 0.244 0.500 0.454 x4

Largest 12 diffraction maxima, by angle, 2θ from 10° to 90°:
2θ = 17.62°, d 5.033, rel. 70, (1 1 0)
2θ = 19.51°, d 4.549, rel. 63, (1 1 -1)
2θ = 22.90°, d 3.883, rel. 78, (2 0 0)
2θ = 26.99°, d 3.304, rel. 67, (0 2 0)
2θ = 28.18°, d 3.167, rel. 100, (1 1 -2)
2θ = 34.67°, d 2.587, rel. 65, (1 1 2)
2θ = 35.47°, d 2.531, rel. 29, (3 1 -1)
2θ = 35.68°, d 2.516, rel. 28, (2 2 0)
2θ = 38.48°, d 2.339, rel. 27, (3 1 -2)
2θ = 48.42°, d 1.880, rel. 23, (1 3 -2)
2θ = 52.76°, d 1.735, rel. 33, (1 3 2)
2θ = 58.28°, d 1.583, rel. 25, (4 2 -3)



For KPmOsO6, a cell relaxed with GGA-PBE gives the theoretical powder diffraction line list in this record (Cu Kα (λ = 1.5418 Å)).
No peak broadening, texture or thermal motion is included.

Cell and atoms:
Cell lengths 5.7421, 5.7421, 5.7175 Å; angles 90.00, 90.00, 120.00 degrees
Space group P312 (No. 149)
Asymmetric unit:
1 K 0.0000 0.0000 0.0000 x1
2 Pm 0.3333 0.6667 0.5000 x1
3 Os 0.6667 0.3333 0.5000 x1
4 O 0.4083 0.0572 0.6891 x6

Largest 12 diffraction maxima, by angle, 2θ from 10° to 90°:
2θ = 15.50°, d 5.717, rel. 100, (0 0 1)
2θ = 17.84°, d 4.973, rel. 46, (1 0 0)
2θ = 23.71°, d 3.752, rel. 98, (1 0 1)
2θ = 31.15°, d 2.871, rel. 57, (1 1 0)
2θ = 34.97°, d 2.566, rel. 61, (2 -1 1)
2θ = 39.52°, d 2.280, rel. 21, (2 0 1)
2θ = 44.74°, d 2.026, rel. 61, (2 -1 2)
2θ = 51.16°, d 1.786, rel. 22, (3 -1 1)
2θ = 55.43°, d 1.658, rel. 17, (3 0 0)
2θ = 57.92°, d 1.592, rel. 17, (3 0 1)
2θ = 58.09°, d 1.588, rel. 19, (1 1 3)
2θ = 65.02°, d 1.434, rel. 22, (2 2 0)



For K3PrOs2O9, a cell relaxed with GGA-PBE gives the theoretical powder diffraction line list in this record (Cu Kα (λ = 1.5418 Å)).
No peak broadening, texture or thermal motion is included.

Cell and atoms:
Cell lengths 5.8079, 5.8079, 7.2998 Å; angles 90.00, 90.00, 120.00 degrees
Space group P-3m1 (No. 164)
Asymmetric unit:
1 K 0.0000 0.0000 0.0000 x1
2 K 0.3333 0.6667 0.6726 x2
3 Pr 0.0000 0.0000 0.5000 x1
4 Os 0.3333 0.6667 0.1475 x2
5 O 0.0000 0.5000 0.0000 x3
6 O 0.1814 0.3627 0.2997 x6

Largest 12 diffraction maxima, by angle, 2θ from 10° to 90°:
2θ = 21.45°, d 4.142, rel. 100, (1 0 1)
2θ = 30.25°, d 2.954, rel. 78, (0 1 2)
2θ = 30.79°, d 2.904, rel. 73, (1 1 0)
2θ = 43.71°, d 2.071, rel. 46, (2 0 2)
2θ = 48.83°, d 1.865, rel. 20, (1 1 3)
2θ = 49.55°, d 1.840, rel. 21, (2 1 1)
2θ = 53.41°, d 1.716, rel. 14, (1 0 4)
2θ = 54.42°, d 1.686, rel. 30, (1 2 2)
2θ = 54.75°, d 1.677, rel. 14, (3 0 0)
2θ = 64.14°, d 1.452, rel. 14, (2 2 0)
2θ = 71.69°, d 1.317, rel. 13, (2 1 4)
2θ = 72.54°, d 1.303, rel. 14, (3 1 2)



For K2Rb2OsO4, a cell relaxed with GGA-PBE gives the theoretical powder diffraction line list in this record (Cu Kα (λ = 1.5418 Å)).
No peak broadening, texture or thermal motion is included.

Cell and atoms:
Cell lengths 6.313, 6.313, 8.781 Å; angles 90.00, 90.00, 90.00 degrees
Space group I4/mmm (No. 139)
Asymmetric unit:
1 K 0.000 0.000 0.152 x4
2 Rb 0.000 0.500 0.250 x4
3 Os 0.000 0.000 0.500 x2
4 O 0.216 0.216 0.500 x8

Largest 12 diffraction maxima, by angle, 2θ from 10° to 90°:
2θ = 17.30°, d 5.126, rel. 67, (1 0 1)
2θ = 28.27°, d 3.156, rel. 65, (2 0 0)
2θ = 28.52°, d 3.130, rel. 100, (1 1 2)
2θ = 33.34°, d 2.688, rel. 19, (2 1 1)
2θ = 33.75°, d 2.655, rel. 44, (1 0 3)
2θ = 40.41°, d 2.232, rel. 42, (2 2 0)
2θ = 44.59°, d 2.032, rel. 33, (2 1 3)
2θ = 50.20°, d 1.817, rel. 39, (3 1 2)
2θ = 59.02°, d 1.565, rel. 14, (2 2 4)
2θ = 61.74°, d 1.503, rel. 16, (3 2 3)
2θ = 67.33°, d 1.391, rel. 14, (1 1 6)
2θ = 81.56°, d 1.180, rel. 16, (3 1 6)



For KRbOs2O8, a cell relaxed with GGA-PBE gives the theoretical powder diffraction line list in this record (Cu Kα (λ = 1.5418 Å)).
No peak broadening, texture or thermal motion is included.

Cell and atoms:
Cell lengths 8.300, 8.300, 7.549 Å; angles 90.00, 90.00, 90.00 degrees
Space group I-4m2 (No. 119)
Asymmetric unit:
1 K 0.000 0.000 0.000 x2
2 Rb 0.000 0.500 0.750 x2
3 Os 0.000 0.000 0.500 x2
4 Os 0.000 0.500 0.250 x2
5 O 0.000 0.170 0.640 x8
6 O 0.000 0.327 0.113 x8

Largest 12 diffraction maxima, by angle, 2θ from 10° to 90°:
2θ = 15.87°, d 5.584, rel. 56, (1 0 1)
2θ = 21.41°, d 4.150, rel. 100, (2 0 0)
2θ = 26.76°, d 3.331, rel. 36, (2 1 1)
2θ = 28.11°, d 3.175, rel. 86, (1 1 2)
2θ = 30.46°, d 2.935, rel. 26, (2 2 0)
2θ = 41.92°, d 2.155, rel. 62, (3 1 2)
2θ = 43.62°, d 2.075, rel. 16, (4 0 0)
2θ = 49.09°, d 1.856, rel. 15, (4 2 0)
2θ = 52.70°, d 1.737, rel. 17, (3 3 2)
2θ = 58.12°, d 1.587, rel. 14, (2 2 4)
2θ = 62.10°, d 1.495, rel. 18, (5 1 2)
2θ = 71.27°, d 1.323, rel. 15, (4 2 4)



For KRb2OsO6, a cell relaxed with GGA-PBE gives the theoretical powder diffraction line list in this record (Cu Kα (λ = 1.5418 Å)).
No peak broadening, texture or thermal motion is included.

Cell and atoms:
Cell lengths 6.3820, 6.3820, 6.7303 Å; angles 90.00, 90.00, 120.00 degrees
Space group P-3m1 (No. 164)
Asymmetric unit:
1 K 0.0000 0.0000 0.0000 x1
2 Rb 0.3333 0.6667 0.6210 x2
3 Os 0.0000 0.0000 0.5000 x1
4 O 0.1377 0.2753 0.3383 x6

Largest 12 diffraction maxima, by angle, 2θ from 10° to 90°:
2θ = 13.15°, d 6.730, rel. 100, (0 0 1)
2θ = 16.04°, d 5.527, rel. 60, (1 0 0)
2θ = 20.80°, d 4.271, rel. 35, (0 1 1)
2θ = 27.96°, d 3.191, rel. 68, (1 1 0)
2θ = 31.06°, d 2.879, rel. 92, (0 1 2)
2θ = 35.10°, d 2.556, rel. 17, (2 0 1)
2θ = 38.89°, d 2.315, rel. 24, (1 1 2)
2θ = 42.32°, d 2.136, rel. 32, (2 0 2)
2θ = 51.47°, d 1.776, rel. 35, (1 2 2)
2θ = 60.56°, d 1.529, rel. 14, (1 2 3)
2θ = 72.08°, d 1.310, rel. 13, (1 2 4)
2θ = 81.01°, d 1.187, rel. 13, (2 3 2)



For K2RbOs3O12, a cell relaxed with GGA-PBE gives the theoretical powder diffraction line list in this record (Cu Kα (λ = 1.5418 Å)).
No peak broadening, texture or thermal motion is included.

Cell and atoms:
Cell lengths 7.3195, 7.3195, 18.0711 Å; angles 90.00, 90.00, 120.00 degrees
Space group R-3m (No. 166, hexagonal axes)
Asymmetric unit:
1 K 0.0000 0.0000 0.1124 x6
2 Rb 0.0000 0.0000 0.5000 x3
3 Os 0.0000 0.5000 0.0000 x9
4 O 0.0764 0.5382 0.3103 x18
5 O 0.0808 0.5404 0.9052 x18

Largest 12 diffraction maxima, by angle, 2θ from 10° to 90°:
2θ = 14.71°, d 6.024, rel. 74, (0 0 3)
2θ = 14.81°, d 5.982, rel. 49, (1 0 1)
2θ = 28.43°, d 3.140, rel. 16, (0 1 5)
2θ = 28.57°, d 3.124, rel. 100, (0 2 1)
2θ = 29.66°, d 3.012, rel. 19, (0 0 6)
2θ = 29.88°, d 2.991, rel. 64, (2 0 2)
2θ = 34.57°, d 2.595, rel. 30, (0 2 4)
2θ = 45.46°, d 1.995, rel. 21, (0 3 3)
2θ = 49.55°, d 1.840, rel. 17, (2 0 8)
2θ = 49.83°, d 1.830, rel. 25, (2 2 0)
2θ = 52.25°, d 1.751, rel. 18, (2 2 3)
2θ = 59.07°, d 1.564, rel. 18, (2 2 6)



For KRb3Os2O8, a cell relaxed with GGA-PBE gives the theoretical powder diffraction line list in this record (Cu Kα (λ = 1.5418 Å)).
No peak broadening, texture or thermal motion is included.

Cell and atoms:
Cell lengths 6.4371, 6.4371, 8.2517 Å; angles 90.00, 90.00, 120.00 degrees
Space group P-3m1 (No. 164)
Asymmetric unit:
1 K 0.0000 0.0000 0.0000 x1
2 Rb 0.0000 0.0000 0.5000 x1
3 Rb 0.3333 0.6667 0.1583 x2
4 Os 0.3333 0.6667 0.7042 x2
5 O 0.1832 0.3665 0.7924 x6
6 O 0.3333 0.6667 0.4876 x2

Largest 12 diffraction maxima, by angle, 2θ from 10° to 90°:
2θ = 15.90°, d 5.575, rel. 19, (1 0 0)
2θ = 19.21°, d 4.619, rel. 50, (0 1 1)
2θ = 26.88°, d 3.316, rel. 81, (0 1 2)
2θ = 27.72°, d 3.219, rel. 100, (1 1 0)
2θ = 36.42°, d 2.467, rel. 17, (1 0 3)
2θ = 39.00°, d 2.310, rel. 42, (2 0 2)
2θ = 46.97°, d 1.935, rel. 16, (1 0 4)
2θ = 48.51°, d 1.876, rel. 31, (1 2 2)
2θ = 49.02°, d 1.858, rel. 20, (3 0 0)
2θ = 57.25°, d 1.609, rel. 17, (2 2 0)
2θ = 63.07°, d 1.474, rel. 15, (2 1 4)
2θ = 64.35°, d 1.448, rel. 15, (3 1 2)



For K2OsRhO6, a cell relaxed with GGA-PBE gives the theoretical powder diffraction line list in this record (Cu Kα (λ = 1.5418 Å)).
No peak broadening, texture or thermal motion is included.

Cell and atoms:
Cell lengths 5.385, 5.385, 10.937 Å; angles 90.00, 90.00, 90.00 degrees
Space group I4/mmm (No. 139)
Asymmetric unit:
1 K 0.000 0.500 0.250 x4
2 Os 0.000 0.000 0.000 x2
3 Rh 0.000 0.000 0.500 x2
4 O 0.000 0.000 0.322 x4
5 O 0.239 0.239 0.000 x8

Largest 12 diffraction maxima, by angle, 2θ from 10° to 90°:
2θ = 16.21°, d 5.469, rel. 51, (0 0 2)
2θ = 23.36°, d 3.808, rel. 39, (1 1 0)
2θ = 28.56°, d 3.125, rel. 100, (1 1 2)
2θ = 32.75°, d 2.734, rel. 26, (0 0 4)
2θ = 33.28°, d 2.693, rel. 31, (2 0 0)
2θ = 40.62°, d 2.221, rel. 13, (1 1 4)
2θ = 47.39°, d 1.919, rel. 18, (2 0 4)
2θ = 47.77°, d 1.904, rel. 20, (2 2 0)
2θ = 55.92°, d 1.644, rel. 19, (1 1 6)
2θ = 56.61°, d 1.626, rel. 29, (3 1 2)
2θ = 59.13°, d 1.562, rel. 17, (2 2 4)
2θ = 76.56°, d 1.244, rel. 14, (3 1 6)